[1]
Structure and theoretical powder XRD pattern of Ca3Mo2O7 (DFT lattice parameters and positions (GGA+U); Cu Kα, 1.54184 Å).

Cell and atoms:
```
Ca3Mo2O7
1.0
9.8402 -2.8106 0.0000
9.8402 2.8106 0.0000
0.0000 0.0000 5.7811
Ca Mo O
6 4 14
Direct
0.0477 0.5734 0.6063
0.2431 0.7569 0.5000
0.4266 0.9523 0.6063
0.5734 0.0477 0.1063
0.7569 0.2431 0.0000
0.9523 0.4266 0.1063
0.1504 0.6483 0.0520
0.3517 0.8496 0.0520
0.6483 0.1504 0.5520
0.8496 0.3517 0.5520
0.0326 0.1292 0.2430
0.0364 0.3646 0.5179
0.1292 0.0326 0.7430
0.3320 0.4305 0.3593
0.3492 0.6508 0.0924
0.3646 0.0364 0.0179
0.4305 0.3320 0.8593
0.5695 0.6680 0.3593
0.6354 0.9636 0.5179
0.6508 0.3492 0.5924
0.6680 0.5695 0.8593
0.8708 0.9674 0.2430
0.9636 0.6354 0.0179
0.9674 0.8708 0.7430
```

Main lines, by angle (5° ≤ 2θ ≤ 70°):
- 2θ = 18.03°, intensity 21
- 2θ = 22.52°, intensity 29
- 2θ = 30.94°, intensity 25
- 2θ = 31.79°, intensity 100
- 2θ = 44.99°, intensity 25
- 2θ = 46.12°, intensity 13
- 2θ = 55.56°, intensity 13
- 2θ = 56.69°, intensity 21


[2]
Structure and theoretical powder XRD pattern of LiTiMnO4 (DFT lattice parameters and positions (GGA+U); Cu Kα, 1.54184 Å).

Cell and atoms:
```
LiTiMnO4
1.0
4.1609 -4.1509 0.0000
4.1609 4.1509 0.0000
-4.0590 0.0000 4.4463
Li Ti Mn O
2 2 2 8
Direct
0.0000 0.0000 0.0000
0.7500 0.2500 0.5000
0.3743 0.6230 0.7489
0.3770 0.6257 0.2511
0.3743 0.1234 0.7494
0.8766 0.6257 0.2506
0.1261 0.8415 0.2493
0.1471 0.4178 0.2929
0.1585 0.8739 0.7507
0.1686 0.3958 0.7933
0.5822 0.8529 0.7071
0.5908 0.3736 0.7486
0.6042 0.8314 0.2067
0.6264 0.4092 0.2514
```

Main lines, by angle (5° ≤ 2θ ≤ 70°):
- 2θ = 17.96°, intensity 93
- 2θ = 18.23°, intensity 100
- 2θ = 33.64°, intensity 26
- 2θ = 35.76°, intensity 30
- 2θ = 40.58°, intensity 44
- 2θ = 43.56°, intensity 69
- 2θ = 61.08°, intensity 23
- 2θ = 63.31°, intensity 23